Record 1
This entry pairs a crystal structure of Ni4P16W with its computed powder diffraction line list. Radiation: Cu Kα. Structure: the GGA-PBE geometry in Alexandria.
Neutral-atom scattering factors, no anomalous dispersion.

Main lines, by angle (10 to 90 degrees two-theta):
d (Å), 2theta, intensity
4.161, 21.35, 63
3.772, 23.59, 60
3.595, 24.77, 88
2.776, 32.24, 100
2.761, 32.43, 92
2.593, 34.59, 59
1.955, 46.46, 69
1.815, 50.26, 67
1.705, 53.77, 57
1.694, 54.13, 55

Crystal structure
a b c (Å): 10.2522 10.2522 11.1558
angles (deg): 100.47 100.47 32.32
Atoms (fractional coordinates):
Ni  0.0122  0.2002  0.0745
Ni  0.1953  0.3059  0.3712
Ni  0.2002  0.0122  0.5745
Ni  0.3059  0.1953  0.8712
Ni  0.6941  0.8047  0.1288
Ni  0.7998  0.9878  0.4255
Ni  0.8047  0.6941  0.6288
Ni  0.9878  0.7998  0.9255
P  0.0090  0.1139  0.8681
P  0.0145  0.2675  0.2808
P  0.1139  0.0090  0.3681
P  0.1161  0.4413  0.1876
P  0.1473  0.2788  0.5540
P  0.2195  0.6564  0.4196
P  0.2592  0.7328  0.8927
P  0.2675  0.0145  0.7808
P  0.2672  0.7408  0.6073
P  0.2788  0.1473  0.0540
P  0.3190  0.3977  0.9571
P  0.3436  0.7805  0.0804
P  0.3742  0.3842  0.6607
P  0.3842  0.3742  0.1607
P  0.3977  0.3190  0.4571
P  0.4413  0.1161  0.6876
P  0.5587  0.8839  0.3124
P  0.6023  0.6810  0.5429
P  0.6158  0.6258  0.8393
P  0.6258  0.6158  0.3393
P  0.6564  0.2195  0.9196
P  0.6810  0.6023  0.0429
P  0.7212  0.8527  0.9460
P  0.7328  0.2592  0.3927
P  0.7325  0.9855  0.2192
P  0.7408  0.2672  0.1073
P  0.7805  0.3436  0.5804
P  0.8527  0.7212  0.4460
P  0.8839  0.5587  0.8124
P  0.8861  0.9910  0.6319
P  0.9855  0.7325  0.7192
P  0.9910  0.8861  0.1319
W  0.3958  0.6042  0.2500
W  0.6042  0.3958  0.7500

***

Record 2
This entry pairs a crystal structure of NiP4W with its computed powder diffraction line list. Radiation: Cu Kα. Structure: the GGA-PBE geometry in Alexandria.
Neutral-atom scattering factors, no anomalous dispersion.

Main lines, by angle (10 to 90 degrees two-theta):
d (Å), 2theta, intensity
6.759, 13.10, 68
4.134, 21.50, 100
3.344, 26.66, 40
3.286, 27.14, 38
2.886, 30.99, 36
2.513, 35.72, 41
2.323, 38.76, 27
2.284, 39.46, 30
1.949, 46.61, 48
1.623, 56.73, 32

Crystal structure
a b c (Å): 5.2259 6.7588 5.5489
angles (deg): 90.00 91.34 90.00
Atoms (fractional coordinates):
Ni  0.0000  0.1455  0.2500
Ni  0.0000  0.8545  0.7500
P  0.1694  0.4002  0.0525
P  0.1694  0.5998  0.5525
P  0.1818  0.1430  0.6296
P  0.1818  0.8570  0.1296
P  0.8182  0.1430  0.8704
P  0.8182  0.8570  0.3704
P  0.8306  0.4002  0.4475
P  0.8306  0.5998  0.9475
W  0.5000  0.4029  0.7500
W  0.5000  0.5971  0.2500

***

Record 3
This entry pairs a crystal structure of YNi5P3 with its computed powder diffraction line list. Radiation: Cu Kα. Structure: the GGA-PBE geometry in Alexandria.
Neutral-atom scattering factors, no anomalous dispersion.

Main lines, by angle (10 to 90 degrees two-theta):
d (Å), 2theta, intensity
2.469, 36.39, 11
2.346, 38.37, 29
2.312, 38.95, 100
2.059, 43.97, 14
1.866, 48.80, 31
1.799, 50.76, 13
1.728, 53.00, 11
1.688, 54.35, 13
1.252, 76.03, 12
1.146, 84.55, 9

Crystal structure
a b c (Å): 18.0992 3.7321 6.7522
angles (deg): 90.00 90.00 90.00
Atoms (fractional coordinates):
Y  0.1417  0.2500  0.1200
Y  0.3583  0.7500  0.6200
Y  0.6417  0.2500  0.3800
Y  0.8583  0.7500  0.8800
Ni  0.0042  0.7500  0.1283
Ni  0.0098  0.2500  0.3795
Ni  0.1131  0.2500  0.6353
Ni  0.2006  0.7500  0.8170
Ni  0.2046  0.7500  0.4291
Ni  0.2954  0.2500  0.9291
Ni  0.2994  0.2500  0.3170
Ni  0.3869  0.7500  0.1353
Ni  0.4902  0.7500  0.8795
Ni  0.4958  0.2500  0.6283
Ni  0.5042  0.7500  0.3717
Ni  0.5098  0.2500  0.1205
Ni  0.6131  0.2500  0.8647
Ni  0.7006  0.7500  0.6830
Ni  0.7046  0.7500  0.0709
Ni  0.7954  0.2500  0.5709
Ni  0.7994  0.2500  0.1830
Ni  0.8869  0.7500  0.3647
Ni  0.9902  0.7500  0.6205
Ni  0.9958  0.2500  0.8717
P  0.0755  0.7500  0.8549
P  0.0827  0.7500  0.3969
P  0.2369  0.2500  0.6236
P  0.2631  0.7500  0.1236
P  0.4173  0.2500  0.8969
P  0.4245  0.2500  0.3549
P  0.5755  0.7500  0.6451
P  0.5827  0.7500  0.1031
P  0.7369  0.2500  0.8764
P  0.7631  0.7500  0.3764
P  0.9173  0.2500  0.6031
P  0.9245  0.2500  0.1451

***

Record 4
This entry pairs a crystal structure of Y4Ni5P2 with its computed powder diffraction line list. Radiation: Cu Kα. Structure: the GGA-PBE geometry in Alexandria.
Neutral-atom scattering factors, no anomalous dispersion.

Main lines, by angle (10 to 90 degrees two-theta):
d (Å), 2theta, intensity
2.523, 35.58, 100
2.467, 36.43, 32
2.162, 41.78, 13
1.970, 46.08, 22
1.908, 47.67, 20
1.891, 48.13, 17
1.539, 60.12, 14
1.370, 68.46, 13
1.343, 70.07, 10
1.219, 78.42, 10

Crystal structure
a b c (Å): 3.8158 3.9394 12.9307
angles (deg): 90.00 90.00 90.00
Atoms (fractional coordinates):
Y  0.0000  0.0000  0.0000
Y  0.0000  0.5000  0.2653
Y  0.0000  0.5000  0.7347
Y  0.5000  0.5000  0.5000
Ni  0.0000  0.0000  0.5000
Ni  0.5000  0.0000  0.1685
Ni  0.5000  0.0000  0.3556
Ni  0.5000  0.0000  0.6444
Ni  0.5000  0.0000  0.8315
P  0.5000  0.5000  0.0945
P  0.5000  0.5000  0.9055